Simulated X-ray powder pattern of LiSbWO7 for λ = 1.5418 Å (Cu Kα), from DFT lattice parameters and positions (GGA+U).
Kinematic intensities with the Lorentz-polarization factor, no thermal factor.

Largest 10 diffraction maxima, in order of rising 2θ, 15 to 90 degrees two-theta:
2θ/deg	I (rel.)
28.23	85.7
28.41	36.4
28.60	50.5
29.59	81.8
29.82	100.0
34.28	32.0
37.65	31.0
45.09	25.5
49.59	67.2
58.38	35.3

Crystal structure
Cell lengths 7.353, 7.353, 7.353 Å; angles 119.96, 119.19, 90.74 degrees
Sites, in units of the cell vectors:
1 Li 0.000 0.000 0.000
2 Li 0.500 0.000 0.500
3 Sb 0.500 0.000 0.000
4 Sb 0.500 0.500 0.500
5 W 0.000 0.500 0.500
6 W 0.500 0.500 0.000
7 O 0.182 0.433 0.369
8 O 0.182 0.813 0.749
9 O 0.195 0.445 0.750
10 O 0.203 0.953 0.250
11 O 0.421 0.171 0.250
12 O 0.436 0.187 0.869
13 O 0.436 0.567 0.249
14 O 0.564 0.433 0.751
15 O 0.564 0.813 0.131
16 O 0.579 0.829 0.750
17 O 0.797 0.047 0.750
18 O 0.805 0.555 0.250
19 O 0.818 0.187 0.251
20 O 0.818 0.567 0.631